(1)
Diffraction record for Er2MgGa3Pt4. The X-ray powder pattern is theoretical, not measured: it uses a GGA-PBE-relaxed structure and Cu Kα X-rays.
No peak broadening, texture or thermal motion is included.

Most intense lines, 2θ = 10–80°, in order of rising 2θ:
| 2θ/deg | I_rel | h k l |
| --- | --- | --- |
| 23.1 | 18.3 | 0 0 3 |
| 32.2 | 37.3 | 1 0 3 |
| 32.4 | 20.4 | 1 1 1 |
| 35.1 | 100.0 | 1 1 2 |
| 44.7 | 20.1 | 1 1 4 |
| 45.0 | 49.8 | 2 0 0 |
| 45.3 | 37.2 | 1 0 5 |
| 65.5 | 23.5 | 2 2 0 |
| 65.7 | 24.5 | 2 1 5 |
| 76.5 | 21.1 | 3 1 2 |

Structure:
```
data_Er2MgGa3Pt4
_chemical_formula_sum 'Er2 Mg1 Ga3 Pt4'
_symmetry_space_group_name_H-M 'P -4 m 2'
_symmetry_Int_Tables_number 115
_cell_length_a 4.031
_cell_length_b 4.031
_cell_length_c 11.532
_cell_angle_alpha 90.00
_cell_angle_beta 90.00
_cell_angle_gamma 90.00
loop_
_symmetry_equiv_pos_as_xyz
'x,y,z'
'y,-x,-z'
'-x,-y,z'
'-y,x,-z'
'-x,y,z'
'-y,-x,-z'
'x,-y,z'
'y,x,-z'
loop_
_atom_site_label
_atom_site_type_symbol
_atom_site_fract_x
_atom_site_fract_y
_atom_site_fract_z
Er1 Er 0.000 0.500 0.242
Mg1 Mg 0.000 0.000 0.500
Ga1 Ga 0.000 0.500 0.868
Ga2 Ga 0.500 0.500 0.500
Pt1 Pt 0.000 0.000 0.000
Pt2 Pt 0.000 0.500 0.652
Pt3 Pt 0.500 0.500 0.000
```


(2)
Diffraction record for ErMg2Ga2Pt. The X-ray powder pattern is theoretical, not measured: it uses a GGA-PBE-relaxed structure and Cu Kα X-rays.
No peak broadening, texture or thermal motion is included.

Most intense lines, 2θ = 10–80°, in order of rising 2θ:
| 2θ/deg | I_rel | h k l |
| --- | --- | --- |
| 24.6 | 100.0 | 1 1 0 |
| 29.9 | 43.5 | 1 1 2 |
| 33.7 | 30.4 | 0 0 4 |
| 35.1 | 61.0 | 2 0 0 |
| 42.1 | 42.5 | 1 1 4 |
| 49.4 | 41.3 | 2 0 4 |
| 50.4 | 21.7 | 2 2 0 |
| 56.9 | 20.3 | 3 1 0 |
| 62.0 | 20.8 | 2 2 4 |
| 67.8 | 21.0 | 3 1 4 |

Structure:
```
data_ErMg2Ga2Pt
_chemical_formula_sum 'Er2 Mg4 Ga4 Pt2'
_symmetry_space_group_name_H-M 'I 4/m m m'
_symmetry_Int_Tables_number 139
_symmetry_space_group_name_Hall '-I 4 2'
_cell_length_a 5.119
_cell_length_b 5.119
_cell_length_c 10.646
_cell_angle_alpha 90.00
_cell_angle_beta 90.00
_cell_angle_gamma 90.00
loop_
_atom_site_label
_atom_site_type_symbol
_atom_site_fract_x
_atom_site_fract_y
_atom_site_fract_z
Er1 Er 0.000 0.000 0.000
Mg1 Mg 0.000 0.500 0.250
Ga1 Ga 0.000 0.000 0.276
Pt1 Pt 0.000 0.000 0.500
```


(3)
Diffraction record for Er2MnGa3Ni4. The X-ray powder pattern is theoretical, not measured: it uses a GGA-PBE-relaxed structure and Cu Kα X-rays.
No peak broadening, texture or thermal motion is included.

Most intense lines, 2θ = 10–80°, in order of rising 2θ:
| 2θ/deg | I_rel | h k l |
| --- | --- | --- |
| 24.6 | 9.8 | 1 0 1 |
| 33.0 | 20.4 | 1 1 0 |
| 34.1 | 67.8 | 1 0 3 |
| 37.0 | 100.0 | 1 1 2 |
| 47.3 | 45.7 | 2 0 0 |
| 48.3 | 38.6 | 1 0 5 |
| 59.6 | 26.9 | 2 1 3 |
| 61.8 | 11.1 | 1 1 6 |
| 69.1 | 14.1 | 2 2 0 |
| 69.9 | 24.9 | 2 1 5 |

Structure:
```
data_Er2MnGa3Ni4
_chemical_formula_sum 'Er2 Mn1 Ga3 Ni4'
_symmetry_space_group_name_H-M 'P -4 m 2'
_symmetry_Int_Tables_number 115
_cell_length_a 3.843
_cell_length_b 3.843
_cell_length_c 10.802
_cell_angle_alpha 90.00
_cell_angle_beta 90.00
_cell_angle_gamma 90.00
loop_
_symmetry_equiv_pos_as_xyz
'x,y,z'
'y,-x,-z'
'-x,-y,z'
'-y,x,-z'
'-x,y,z'
'-y,-x,-z'
'x,-y,z'
'y,x,-z'
loop_
_atom_site_label
_atom_site_type_symbol
_atom_site_fract_x
_atom_site_fract_y
_atom_site_fract_z
Er1 Er 0.000 0.500 0.244
Mn1 Mn 0.500 0.500 0.000
Ga1 Ga 0.000 0.000 0.000
Ga2 Ga 0.000 0.500 0.632
Ni1 Ni 0.000 0.000 0.500
Ni2 Ni 0.000 0.500 0.855
Ni3 Ni 0.500 0.500 0.500
```


Please write out number 2 again, unchanged.
Diffraction record for ErMg2Ga2Pt. The X-ray powder pattern is theoretical, not measured: it uses a GGA-PBE-relaxed structure and Cu Kα X-rays.
No peak broadening, texture or thermal motion is included.

Most intense lines, 2θ = 10–80°, in order of rising 2θ:
| 2θ/deg | I_rel | h k l |
| --- | --- | --- |
| 24.6 | 100.0 | 1 1 0 |
| 29.9 | 43.5 | 1 1 2 |
| 33.7 | 30.4 | 0 0 4 |
| 35.1 | 61.0 | 2 0 0 |
| 42.1 | 42.5 | 1 1 4 |
| 49.4 | 41.3 | 2 0 4 |
| 50.4 | 21.7 | 2 2 0 |
| 56.9 | 20.3 | 3 1 0 |
| 62.0 | 20.8 | 2 2 4 |
| 67.8 | 21.0 | 3 1 4 |

Structure:
```
data_ErMg2Ga2Pt
_chemical_formula_sum 'Er2 Mg4 Ga4 Pt2'
_symmetry_space_group_name_H-M 'I 4/m m m'
_symmetry_Int_Tables_number 139
_symmetry_space_group_name_Hall '-I 4 2'
_cell_length_a 5.119
_cell_length_b 5.119
_cell_length_c 10.646
_cell_angle_alpha 90.00
_cell_angle_beta 90.00
_cell_angle_gamma 90.00
loop_
_atom_site_label
_atom_site_type_symbol
_atom_site_fract_x
_atom_site_fract_y
_atom_site_fract_z
Er1 Er 0.000 0.000 0.000
Mg1 Mg 0.000 0.500 0.250
Ga1 Ga 0.000 0.000 0.276
Pt1 Pt 0.000 0.000 0.500
```